Structure and computed powder XRD pattern of Cs3NaPb2F9 (a structure optimized by DFT (GGA-PBE); λ = 1.5418 Å (Cu Kα)).
Lines closer than 0.1° are merged.

Largest 12 diffraction maxima, in order of rising 2θ, 10 to 90 degrees two-theta:
2θ/deg	I_rel	hkl
15.33	19	1 0 0
18.77	22	0 1 1
26.61	100	0 1 2
26.72	96	1 1 0
38.07	66	2 0 2
46.93	21	1 0 4
47.14	65	3 0 0
54.82	21	0 2 4
55.05	21	2 2 0
62.01	19	2 1 4
62.17	20	3 1 2
75.36	22	4 1 0

Cell and atoms:
```
data_Cs3NaPb2F9
_chemical_formula_sum 'Cs3 Na1 Pb2 F9'
_space_group_name_H-M_alt 'P -3 m 1'
_space_group_IT_number 164
_space_group_name_Hall '-P 3 2"'
_cell_length_a 6.6721
_cell_length_b 6.6721
_cell_length_c 8.2203
_cell_angle_alpha 90.00
_cell_angle_beta 90.00
_cell_angle_gamma 120.00
loop_
_atom_site_label
_atom_site_type_symbol
_atom_site_fract_x
_atom_site_fract_y
_atom_site_fract_z
Cs1 Cs 0.0000 0.0000 0.0000
Cs2 Cs 0.3333 0.6667 0.6527
Na1 Na 0.0000 0.0000 0.5000
Pb1 Pb 0.3333 0.6667 0.1752
F1 F 0.0000 0.5000 0.0000
F2 F 0.1697 0.3393 0.3346
```

Structure and computed powder XRD pattern of Rb3CrH7 (a structure optimized by DFT (GGA-PBE); λ = 1.5418 Å (Cu Kα)).
Lines closer than 0.1° are merged.

Largest 12 diffraction maxima, in order of rising 2θ, 10 to 90 degrees two-theta:
2θ/deg	I_rel	hkl
24.88	21	2 1 0
26.92	100	2 0 1
29.19	28	2 1 1
30.30	26	0 0 2
31.63	26	2 2 0
39.59	14	2 1 2
44.36	19	2 2 2
46.81	8	4 1 0
49.44	13	4 1 1
51.80	15	2 0 3
53.52	8	4 2 1
56.78	9	4 1 2

Cell and atoms:
```
data_Rb3CrH7
_chemical_formula_sum 'Rb6 Cr2 H14'
_space_group_name_H-M_alt 'P 4/m b m'
_space_group_IT_number 127
_space_group_name_Hall '-P 4 2ab'
_cell_length_a 8.002
_cell_length_b 8.002
_cell_length_c 5.900
_cell_angle_alpha 90.00
_cell_angle_beta 90.00
_cell_angle_gamma 90.00
loop_
_atom_site_label
_atom_site_type_symbol
_atom_site_fract_x
_atom_site_fract_y
_atom_site_fract_z
Rb1 Rb 0.000 0.000 0.000
Rb2 Rb 0.189 0.311 0.500
Cr1 Cr 0.000 0.500 0.000
H1 H 0.000 0.000 0.500
H2 H 0.105 0.605 0.209
H3 H 0.151 0.349 0.000
```

Structure and computed powder XRD pattern of AcP2OsRu (a structure optimized by DFT (GGA-PBE); λ = 1.5418 Å (Cu Kα)).
Lines closer than 0.1° are merged.

Largest 12 diffraction maxima, in order of rising 2θ, 10 to 90 degrees two-theta:
2θ/deg	I_rel	hkl
23.15	45	1 0 1
31.44	28	0 0 4
32.21	43	1 0 3
34.85	100	1 1 2
44.39	34	2 0 0
50.65	12	2 1 1
55.40	24	2 0 4
55.89	18	2 1 3
58.19	29	1 1 6
65.57	13	0 0 8
75.53	22	3 1 2
82.66	12	2 0 8

Cell and atoms:
```
data_AcP2OsRu
_chemical_formula_sum 'Ac2 P4 Os2 Ru2'
_space_group_name_H-M_alt 'I -4 m 2'
_space_group_IT_number 119
_space_group_name_Hall 'I -4 -2'
_cell_length_a 4.082
_cell_length_b 4.082
_cell_length_c 11.383
_cell_angle_alpha 90.00
_cell_angle_beta 90.00
_cell_angle_gamma 90.00
loop_
_atom_site_label
_atom_site_type_symbol
_atom_site_fract_x
_atom_site_fract_y
_atom_site_fract_z
Ac1 Ac 0.000 0.000 0.000
P1 P 0.000 0.000 0.352
Os1 Os 0.000 0.500 0.250
Ru1 Ru 0.000 0.500 0.750
```

Structure and computed powder XRD pattern of ErNiB4 (a structure optimized by DFT (GGA-PBE); λ = 1.5418 Å (Cu Kα)).
Lines closer than 0.1° are merged.

Largest 12 diffraction maxima, in order of rising 2θ, 10 to 90 degrees two-theta:
2θ/deg	I_rel	hkl
21.70	22	1 2 0
26.23	67	0 0 1
27.93	30	1 3 0
31.39	91	0 4 0
34.29	19	1 2 1
34.96	18	1 4 0
38.70	46	1 3 1
41.35	100	0 4 1
44.22	23	1 4 1
47.36	21	2 3 1
50.63	16	2 5 0
63.78	28	0 4 2

Cell and atoms:
```
data_ErNiB4
_chemical_formula_sum 'Er4 Ni4 B16'
_space_group_name_H-M_alt 'P b a m'
_space_group_IT_number 55
_space_group_name_Hall '-P 2 2ab'
_cell_length_a 5.881
_cell_length_b 11.411
_cell_length_c 3.398
_cell_angle_alpha 90.00
_cell_angle_beta 90.00
_cell_angle_gamma 90.00
loop_
_atom_site_label
_atom_site_type_symbol
_atom_site_fract_x
_atom_site_fract_y
_atom_site_fract_z
Er1 Er 0.127 0.150 0.000
Ni1 Ni 0.134 0.412 0.000
B1 B 0.021 0.692 0.500
B2 B 0.113 0.547 0.500
B3 B 0.137 0.967 0.500
B4 B 0.215 0.815 0.500
```